Simulated XRD peak list of Tb3Fe2Si3 for Cu Kα (weighted mean of Kα1 and Kα2), from a DFT-relaxed cell (PBE, the Materials Project).

Principal peaks in the range 2θ = 10–90°, by intensity:
2θ (°)  Rel. int.  hkl
35.3  100  1 1 4
34.1  77  1 3 1
25.8  46  0 2 3
39.0  40  1 3 3
44.3  35  2 0 0
24.2  32  1 1 1
37.0  26  0 2 5
58.5  23  1 3 7
26.8  22  1 1 2
39.2  22  0 4 3

Crystal structure
a = 4.088 Å, b = 10.638 Å, c = 13.660 Å
α = 90.00°, β = 90.00°, γ = 90.00°
Space group Cmcm (No. 63)
Asymmetric unit:
Tb 0.000 0.079 0.113
Tb 0.000 0.363 0.250
Fe 0.000 0.215 0.580
Si 0.000 0.326 0.750
Si 0.000 0.374 0.039


Simulated XRD peak list of TbFeSi2 for Cu Kα (weighted mean of Kα1 and Kα2), from a DFT-relaxed cell (PBE, the Materials Project).

Principal peaks in the range 2θ = 10–90°, by intensity:
2θ (°)  Rel. int.  hkl
35.0  100  1 1 1
31.5  49  1 1 -1
36.5  39  1 0 -3
41.8  39  0 1 3
25.3  37  0 1 1
35.9  35  1 1 -2
45.9  31  0 2 0
32.4  31  0 1 2
31.2  30  1 1 0
42.2  29  2 0 -1

Crystal structure
a = 4.285 Å, b = 3.951 Å, c = 7.951 Å
α = 90.00°, β = 103.09°, γ = 90.00°
Space group P2_1/m (No. 11)
Asymmetric unit:
Tb 0.096 0.250 0.205
Fe 0.383 0.250 0.609
Si 0.171 0.750 0.492
Si 0.460 0.250 0.902


Simulated XRD peak list of TbFe4Si2 for Cu Kα (weighted mean of Kα1 and Kα2), from a DFT-relaxed cell (PBE, the Materials Project).

Principal peaks in the range 2θ = 10–90°, by intensity:
2θ (°)  Rel. int.  hkl
37.0  100  2 1 1
40.2  48  3 1 0
26.8  28  1 0 1
43.3  26  2 2 1
47.1  23  3 1 1
64.5  23  3 1 2
70.9  22  4 3 1
48.2  22  0 0 2
25.1  18  2 0 0
59.0  17  4 1 1

Crystal structure
a = 7.100 Å, b = 7.100 Å, c = 3.774 Å
α = 90.00°, β = 90.00°, γ = 90.00°
Space group P4_2/mnm (No. 136)
Asymmetric unit:
Tb 0.000 0.000 0.000
Fe 0.088 0.349 0.500
Si 0.218 0.782 0.500